This entry pairs a crystal structure of Sn2Te2Au with its simulated X-ray diffraction stick pattern. Radiation: Cu Kα (λ = 1.5418 Å). Structure: a GGA-PBE-relaxed structure.
No peak broadening, texture or thermal motion is included.

Structural model:
```
data_Sn2Te2Au
_space_group_name_H-M_alt 'P 4/m b m'
_space_group_IT_number 127
_space_group_name_Hall '-P 4 2ab'
_cell_length_a 8.216
_cell_length_b 8.216
_cell_length_c 4.327
_cell_angle_alpha 90.00
_cell_angle_beta 90.00
_cell_angle_gamma 90.00
loop_
_atom_site_label
_atom_site_type_symbol
_atom_site_fract_x
_atom_site_fract_y
_atom_site_fract_z
Sn1 Sn 0.144 0.356 0.000
Te1 Te 0.178 0.678 0.500
Au1 Au 0.000 0.000 0.500
```

Top 12 peaks for 2θ = 5–70°, by angle:
| h k l | d/Å | I/Imax |
| --- | --- | --- |
| 0 0 1 | 4.327 | 12 |
| 1 1 1 | 3.470 | 39 |
| 2 2 0 | 2.905 | 20 |
| 2 1 1 | 2.801 | 100 |
| 3 1 0 | 2.598 | 61 |
| 2 2 1 | 2.412 | 20 |
| 3 1 1 | 2.227 | 11 |
| 0 0 2 | 2.164 | 22 |
| 4 0 1 | 1.856 | 15 |
| 4 1 1 | 1.810 | 20 |
| 3 1 2 | 1.663 | 32 |
| 5 2 1 | 1.439 | 13 |